Structure and theoretical XRD peak list of V3IrO9 (DFT lattice parameters and positions (GGA+U); Cu Kα).

Most intense lines, 2θ from 10° to 90°, in order of rising 2θ:
| 2θ (°) | d (Å) | intensity | hkl |
| --- | --- | --- | --- |
| 15.24 | 5.815 | 84 | 1 1 -1 |
| 17.45 | 5.081 | 23 | 2 0 -2 |
| 20.65 | 4.300 | 100 | 1 1 1 |
| 22.55 | 3.944 | 16 | 3 1 -1 |
| 23.73 | 3.749 | 22 | 3 1 -2 |
| 24.96 | 3.567 | 18 | 4 0 -2 |
| 29.22 | 3.057 | 27 | 3 1 -3 |
| 29.51 | 3.027 | 24 | 2 2 0 |
| 33.25 | 2.695 | 27 | 0 2 2 |
| 35.71 | 2.514 | 22 | 5 1 -1 |

```
data_V3IrO9
_symmetry_space_group_name_H-M 'C 1 c 1'
_symmetry_Int_Tables_number 9
_symmetry_space_group_name_Hall 'C -2yc'
_cell_length_a 14.4008
_cell_length_b 7.0921
_cell_length_c 10.2802
_cell_angle_alpha 90.00
_cell_angle_beta 126.20
_cell_angle_gamma 90.00
loop_
_atom_site_label
_atom_site_type_symbol
_atom_site_fract_x
_atom_site_fract_y
_atom_site_fract_z
_atom_site_occupancy
V1 V 0.0000 0.0260 0.0000 1
V2 V 0.1223 0.4008 0.9311 1
V3 V 0.3779 0.0996 0.5692 1
Ir1 Ir 0.2501 0.2498 0.7502 1
O1 O 0.0003 0.4993 0.2502 1
O2 O 0.0709 0.1755 0.9432 1
O3 O 0.1052 0.1064 0.6589 1
O4 O 0.1633 0.4577 0.5920 1
O5 O 0.2292 0.3719 0.9068 1
O6 O 0.2710 0.1276 0.5935 1
O7 O 0.3371 0.0418 0.9084 1
O8 O 0.3952 0.3928 0.8414 1
O9 O 0.4286 0.3255 0.5565 1
```